No. 1
# Pm3AuI3
Computed X-ray diffraction stick pattern, λ = 1.5418 Å (Cu Kα). Input: a DFT-relaxed cell (PBE, Alexandria).
Lines closer than 0.1° are merged.

Most intense lines, 2θ from 15° to 90°, most intense first:
| 2theta | I_rel |
| --- | --- |
| 28.38 | 100 |
| 40.57 | 72 |
| 66.48 | 28 |
| 50.25 | 24 |
| 73.81 | 19 |
| 58.72 | 11 |
| 36.42 | 9 |
| 53.54 | 7 |

Structural model:
a = 10.8933 Å, b = 10.8933 Å, c = 10.8933 Å
α = 109.47°, β = 109.47°, γ = 109.47°
Sites, in units of the cell vectors:
Pm 0.0172 0.0343 0.2672
Pm 0.0172 0.4828 0.7500
Pm 0.0343 0.2672 0.0172
Pm 0.2328 0.2672 0.7500
Pm 0.2328 0.4657 0.4828
Pm 0.2672 0.0172 0.0343
Pm 0.2672 0.7500 0.2328
Pm 0.4657 0.4828 0.2328
Pm 0.4828 0.2328 0.4657
Pm 0.4828 0.7500 0.0172
Pm 0.7500 0.0172 0.4828
Pm 0.7500 0.2328 0.2672
Au 0.0000 0.2500 0.5000
Au 0.2500 0.2500 0.2500
Au 0.2500 0.5000 0.0000
Au 0.5000 0.0000 0.2500
I 0.2500 0.7573 0.7427
I 0.2500 0.9927 0.5073
I 0.5073 0.2500 0.9927
I 0.5073 0.7573 0.5145
I 0.5145 0.5073 0.7573
I 0.7427 0.2500 0.7573
I 0.7427 0.9927 0.9855
I 0.7573 0.5145 0.5073
I 0.7573 0.7427 0.2500
I 0.9855 0.7427 0.9927
I 0.9927 0.5073 0.2500
I 0.9927 0.9855 0.7427

No. 2
# PmAuI6
Computed X-ray diffraction stick pattern, λ = 1.5418 Å (Cu Kα). Input: a DFT-relaxed cell (PBE, Alexandria).
Lines closer than 0.1° are merged.

Most intense lines, 2θ from 15° to 90°, most intense first:
| 2theta | I_rel |
| --- | --- |
| 21.65 | 100 |
| 20.73 | 60 |
| 17.55 | 41 |
| 19.08 | 38 |
| 38.78 | 34 |
| 18.61 | 32 |
| 29.98 | 31 |
| 46.67 | 30 |

Structural model:
a = 6.3351 Å, b = 7.9731 Å, c = 8.7127 Å
α = 69.04°, β = 73.94°, γ = 85.59°
Sites, in units of the cell vectors:
Pm 0.0000 0.0000 0.0000
Au 0.5000 0.5000 0.0000
I 0.0268 0.8107 0.3597
I 0.2756 0.3694 0.8370
I 0.4142 0.8307 0.8079
I 0.5858 0.1693 0.1921
I 0.7244 0.6306 0.1630
I 0.9732 0.1893 0.6403

No. 3
# Pr3AuI3
Computed X-ray diffraction stick pattern, λ = 1.5418 Å (Cu Kα). Input: a DFT-relaxed cell (PBE, Alexandria).
Lines closer than 0.1° are merged.

Most intense lines, 2θ from 15° to 90°, most intense first:
| 2theta | I_rel |
| --- | --- |
| 28.05 | 100 |
| 27.92 | 53 |
| 39.69 | 40 |
| 40.28 | 36 |
| 51.36 | 20 |
| 37.86 | 19 |
| 42.20 | 18 |
| 57.97 | 10 |

Structural model:
a = 9.5060 Å, b = 4.2834 Å, c = 12.7855 Å
α = 90.00°, β = 91.21°, γ = 90.00°
Sites, in units of the cell vectors:
Pr 0.0978 0.2500 0.1158
Pr 0.1146 0.2500 0.6372
Pr 0.3315 0.7500 0.8735
Pr 0.6685 0.2500 0.1265
Pr 0.8854 0.7500 0.3628
Pr 0.9022 0.7500 0.8842
Au 0.1183 0.2500 0.8719
Au 0.8817 0.7500 0.1281
I 0.1445 0.2500 0.3793
I 0.3705 0.7500 0.6223
I 0.3841 0.7500 0.1311
I 0.6159 0.2500 0.8689
I 0.6295 0.2500 0.3777
I 0.8555 0.7500 0.6207

No. 4
# Rb4AuI5
Computed X-ray diffraction stick pattern, λ = 1.5418 Å (Cu Kα). Input: a DFT-relaxed cell (PBE, Alexandria).
Lines closer than 0.1° are merged.

Most intense lines, 2θ from 15° to 90°, most intense first:
| 2theta | I_rel |
| --- | --- |
| 24.93 | 100 |
| 34.89 | 77 |
| 24.00 | 47 |
| 35.55 | 38 |
| 43.35 | 30 |
| 57.70 | 15 |
| 40.65 | 14 |
| 46.85 | 14 |

Structural model:
a = 8.8045 Å, b = 8.8045 Å, c = 8.8045 Å
α = 100.21°, β = 100.21°, γ = 130.19°
Sites, in units of the cell vectors:
Rb 0.0916 0.3014 0.3930
Rb 0.3014 0.9084 0.2098
Rb 0.6986 0.0916 0.7902
Rb 0.9084 0.6986 0.6070
Au 0.6117 0.6117 0.0000
I 0.2390 0.5875 0.8252
I 0.4138 0.2390 0.6515
I 0.5875 0.7622 0.3485
I 0.7622 0.4138 0.1748
I 0.9809 0.9809 0.0000

No. 5
# Rb6Au3I2
Computed X-ray diffraction stick pattern, λ = 1.5418 Å (Cu Kα). Input: a DFT-relaxed cell (PBE, Alexandria).
Lines closer than 0.1° are merged.

Most intense lines, 2θ from 15° to 90°, most intense first:
| 2theta | I_rel |
| --- | --- |
| 24.48 | 100 |
| 34.53 | 40 |
| 35.26 | 39 |
| 57.10 | 19 |
| 43.36 | 15 |
| 62.75 | 9 |
| 50.22 | 9 |
| 20.44 | 8 |

Structural model:
a = 8.8198 Å, b = 8.8198 Å, c = 9.0704 Å
α = 99.41°, β = 99.41°, γ = 120.03°
Sites, in units of the cell vectors:
Rb 0.0705 0.4107 0.2319
Rb 0.2490 0.2490 0.7687
Rb 0.4107 0.0705 0.2319
Rb 0.5893 0.9295 0.7681
Rb 0.7510 0.7510 0.2313
Rb 0.9295 0.5893 0.7681
Au 0.0000 0.0000 0.0000
Au 0.3363 0.6637 0.0000
Au 0.6637 0.3363 0.0000
I 0.1663 0.8337 0.5000
I 0.8337 0.1663 0.5000

No. 6
# Rb3Au2I7
Computed X-ray diffraction stick pattern, λ = 1.5418 Å (Cu Kα). Input: a DFT-relaxed cell (PBE, Alexandria).
Lines closer than 0.1° are merged.

Most intense lines, 2θ from 15° to 90°, most intense first:
| 2theta | I_rel |
| --- | --- |
| 26.37 | 100 |
| 30.12 | 87 |
| 30.98 | 81 |
| 30.53 | 63 |
| 43.75 | 62 |
| 54.28 | 53 |
| 15.23 | 49 |
| 43.41 | 48 |

Structural model:
a = 14.9398 Å, b = 14.9398 Å, c = 5.7735 Å
α = 90.00°, β = 90.00°, γ = 157.09°
Sites, in units of the cell vectors:
Rb 0.0000 0.0000 0.0000
Rb 0.1768 0.8232 0.0000
Rb 0.8232 0.1768 0.0000
Au 0.4012 0.5988 0.5000
Au 0.5988 0.4012 0.5000
I 0.0933 0.9067 0.5000
I 0.3034 0.6966 0.5000
I 0.4060 0.5940 0.0000
I 0.5000 0.5000 0.5000
I 0.5940 0.4060 0.0000
I 0.6966 0.3034 0.5000
I 0.9067 0.0933 0.5000

No. 7
# RbAuI3
Computed X-ray diffraction stick pattern, λ = 1.5418 Å (Cu Kα). Input: a DFT-relaxed cell (PBE, Alexandria).
Lines closer than 0.1° are merged.

Most intense lines, 2θ from 15° to 90°, most intense first:
| 2theta | I_rel |
| --- | --- |
| 26.03 | 100 |
| 23.36 | 77 |
| 22.28 | 64 |
| 22.37 | 52 |
| 24.54 | 51 |
| 17.11 | 43 |
| 19.68 | 42 |
| 16.57 | 34 |

Structural model:
a = 5.6401 Å, b = 8.4894 Å, c = 11.2669 Å
α = 68.02°, β = 76.85°, γ = 73.05°
Sites, in units of the cell vectors:
Rb 0.0000 0.0000 0.0000
Rb 0.3245 0.8837 0.5344
Au 0.6429 0.4364 0.2503
Au 0.7852 0.2210 0.6641
I 0.2101 0.4570 0.8132
I 0.4136 0.4467 0.0277
I 0.4944 0.7673 0.2192
I 0.6455 0.9290 0.7756
I 0.8259 0.1019 0.3122
I 0.9789 0.4905 0.5568

No. 8
# RbAuI3
Computed X-ray diffraction stick pattern, λ = 1.5418 Å (Cu Kα). Input: a DFT-relaxed cell (PBE, Alexandria).
Lines closer than 0.1° are merged.

Most intense lines, 2θ from 15° to 90°, most intense first:
| 2theta | I_rel |
| --- | --- |
| 32.89 | 100 |
| 31.34 | 81 |
| 27.18 | 79 |
| 15.52 | 73 |
| 26.32 | 70 |
| 40.95 | 64 |
| 29.16 | 58 |
| 43.01 | 58 |

Structural model:
a = 7.8166 Å, b = 7.8166 Å, c = 7.8166 Å
α = 65.11°, β = 65.11°, γ = 65.11°
Sites, in units of the cell vectors:
Rb 0.0000 0.0000 0.0000
Au 0.8126 0.8126 0.8126
I 0.0106 0.0106 0.4646
I 0.0106 0.4646 0.0106
I 0.4646 0.0106 0.0106

No. 9
# Rb5Au4I
Computed X-ray diffraction stick pattern, λ = 1.5418 Å (Cu Kα). Input: a DFT-relaxed cell (PBE, Alexandria).
Lines closer than 0.1° are merged.

Most intense lines, 2θ from 15° to 90°, most intense first:
| 2theta | I_rel |
| --- | --- |
| 29.78 | 100 |
| 29.66 | 52 |
| 52.71 | 41 |
| 42.44 | 20 |
| 52.93 | 18 |
| 20.86 | 15 |
| 61.85 | 12 |
| 85.31 | 11 |

Structural model:
a = 4.2594 Å, b = 4.2594 Å, c = 21.1338 Å
α = 90.00°, β = 90.00°, γ = 90.00°
Sites, in units of the cell vectors:
Rb 0.0000 0.0000 0.0000
Rb 0.0000 0.0000 0.1954
Rb 0.0000 0.0000 0.3931
Rb 0.0000 0.0000 0.6069
Rb 0.0000 0.0000 0.8046
Au 0.5000 0.5000 0.0978
Au 0.5000 0.5000 0.2921
Au 0.5000 0.5000 0.7079
Au 0.5000 0.5000 0.9022
I 0.5000 0.5000 0.5000

No. 10
# Rb2AuI7
Computed X-ray diffraction stick pattern, λ = 1.5418 Å (Cu Kα). Input: a DFT-relaxed cell (PBE, Alexandria).
Lines closer than 0.1° are merged.

Most intense lines, 2θ from 15° to 90°, most intense first:
| 2theta | I_rel |
| --- | --- |
| 28.80 | 100 |
| 40.79 | 74 |
| 24.72 | 68 |
| 28.27 | 57 |
| 50.70 | 34 |
| 41.18 | 33 |
| 20.07 | 26 |
| 42.95 | 20 |

Structural model:
a = 8.8494 Å, b = 8.8494 Å, c = 8.8494 Å
α = 120.61°, β = 120.61°, γ = 88.96°
Sites, in units of the cell vectors:
Rb 0.2500 0.7500 0.5000
Rb 0.7500 0.2500 0.5000
Au 0.0000 0.0000 0.0000
I 0.2178 0.2178 0.4355
I 0.2178 0.7822 0.0000
I 0.2673 0.2673 0.0000
I 0.5000 0.5000 0.0000
I 0.7327 0.7327 0.0000
I 0.7822 0.2178 0.0000
I 0.7822 0.7822 0.5645

No. 11
# Rb6AuI4
Computed X-ray diffraction stick pattern, λ = 1.5418 Å (Cu Kα). Input: a DFT-relaxed cell (PBE, Alexandria).
Lines closer than 0.1° are merged.

Most intense lines, 2θ from 15° to 90°, most intense first:
| 2theta | I_rel |
| --- | --- |
| 28.19 | 100 |
| 26.95 | 98 |
| 20.64 | 64 |
| 25.37 | 64 |
| 24.11 | 48 |
| 36.31 | 48 |
| 53.72 | 37 |
| 31.77 | 33 |

Structural model:
a = 10.4914 Å, b = 10.4914 Å, c = 10.4914 Å
α = 90.53°, β = 90.53°, γ = 90.53°
Sites, in units of the cell vectors:
Rb 0.0571 0.9190 0.6916
Rb 0.0810 0.3084 0.9429
Rb 0.1916 0.4190 0.5571
Rb 0.3084 0.9429 0.0810
Rb 0.4190 0.5571 0.1916
Rb 0.4429 0.8084 0.5810
Rb 0.5571 0.1916 0.4190
Rb 0.5810 0.4429 0.8084
Rb 0.6916 0.0571 0.9190
Rb 0.8084 0.5810 0.4429
Rb 0.9190 0.6916 0.0571
Rb 0.9429 0.0810 0.3084
Au 0.0000 0.0000 0.0000
Au 0.5000 0.5000 0.5000
I 0.1265 0.7500 0.3735
I 0.2500 0.2500 0.2500
I 0.2500 0.6265 0.8735
I 0.3735 0.1265 0.7500
I 0.6265 0.8734 0.2500
I 0.7500 0.3735 0.1265
I 0.7500 0.7500 0.7500
I 0.8735 0.2500 0.6265

No. 12
# Rb3Au3I8
Computed X-ray diffraction stick pattern, λ = 1.5418 Å (Cu Kα). Input: a DFT-relaxed cell (PBE, Alexandria).
Lines closer than 0.1° are merged.

Most intense lines, 2θ from 15° to 90°, most intense first:
| 2theta | I_rel |
| --- | --- |
| 29.32 | 100 |
| 22.18 | 37 |
| 16.08 | 35 |
| 21.33 | 34 |
| 32.48 | 22 |
| 43.44 | 19 |
| 33.05 | 16 |
| 24.33 | 16 |

Structural model:
a = 8.0681 Å, b = 8.0681 Å, c = 21.0659 Å
α = 94.00°, β = 94.00°, γ = 64.11°
Sites, in units of the cell vectors:
Rb 0.0036 0.9964 0.7500
Rb 0.2863 0.3374 0.4070
Rb 0.3374 0.2863 0.9070
Rb 0.6626 0.7137 0.0930
Rb 0.7137 0.6626 0.5930
Rb 0.9964 0.0036 0.2500
Au 0.0000 0.0000 0.0000
Au 0.0000 0.0000 0.5000
Au 0.3369 0.3942 0.1778
Au 0.3942 0.3369 0.6778
Au 0.6058 0.6631 0.3222
Au 0.6631 0.6058 0.8222
I 0.0425 0.5159 0.2448
I 0.1479 0.7211 0.0827
I 0.1641 0.1963 0.5612
I 0.1963 0.1641 0.0612
I 0.2603 0.6501 0.6214
I 0.2789 0.8521 0.4173
I 0.3499 0.7397 0.8786
I 0.4841 0.9575 0.2552
I 0.5159 0.0425 0.7448
I 0.6501 0.2603 0.1214
I 0.7211 0.1479 0.5827
I 0.7397 0.3499 0.3786
I 0.8037 0.8359 0.9388
I 0.8359 0.8037 0.4388
I 0.8521 0.2789 0.9173
I 0.9575 0.4841 0.7552